(1)
Structure and simulated PXRD pattern of ZrCoHg2 (a DFT-relaxed cell (GGA-PBE, OQMD); Cu Kα X-rays).

Principal peaks in the range 2θ = 10–90°, by angle:
d_spacing, intensity
3.859, 22.6
2.363, 100.0
2.015, 12.9
1.671, 17.3
1.364, 35.1
1.182, 11.2

Lattice parameters (Å, degrees): 4.7261 4.7261 4.7261 60.00 60.00 60.00
Atoms (fractional coordinates):
Zr 0.0000 0.0000 0.0000
Co 0.2500 0.2500 0.2500
Hg 0.5000 0.5000 0.5000
Hg 0.7500 0.7500 0.7500

***

(2)
Structure and simulated PXRD pattern of Ni2Sb3As (a DFT-relaxed cell (GGA-PBE, OQMD); Cu Kα X-rays).

Principal peaks in the range 2θ = 10–90°, by angle:
d_spacing, intensity
3.051, 59.4
2.757, 98.4
2.725, 100.0
2.690, 72.8
2.631, 73.5
1.826, 68.7

Lattice parameters (Å, degrees): 5.0944 3.8106 6.2410 90.00 91.43 90.00
Atoms (fractional coordinates):
Ni 0.0000 0.0000 0.0000
Ni 0.4720 0.5000 0.4812
Sb 0.2725 0.5000 0.8455
Sb 0.7164 0.5000 0.1372
Sb 0.7810 0.0000 0.6192
As 0.2078 0.0000 0.3511

***

(3)
Structure and simulated PXRD pattern of La2Nd2CI5 (a DFT-relaxed cell (GGA-PBE, OQMD); Cu Kα X-rays).

Principal peaks in the range 2θ = 10–90°, by angle:
d_spacing, intensity
8.792, 22.4
3.177, 42.2
3.054, 100.0
2.809, 30.8
2.210, 26.7
2.194, 26.3

Lattice parameters (Å, degrees): 9.9901 9.9901 9.0137 102.46 102.46 24.00
Atoms (fractional coordinates):
La 0.0013 0.0013 0.3038
La 0.9987 0.9987 0.6962
Nd 0.3669 0.3669 0.4331
Nd 0.6331 0.6331 0.5669
C 0.5000 0.5000 0.5000
I 0.1662 0.1662 0.8399
I 0.1723 0.1723 0.3269
I 0.5000 0.5000 0.0000
I 0.8277 0.8277 0.6731
I 0.8338 0.8338 0.1601

***

(4)
Structure and simulated PXRD pattern of GdErCo2C2 (a DFT-relaxed cell (GGA-PBE, OQMD); Cu Kα X-rays).

Principal peaks in the range 2θ = 10–90°, by angle:
d_spacing, intensity
3.614, 25.2
2.555, 48.5
2.499, 100.0
1.807, 20.3
1.464, 36.9
1.433, 15.7

Lattice parameters (Å, degrees): 3.6138 3.6138 6.9205 90.00 90.00 90.00
Atoms (fractional coordinates):
Gd 0.0000 0.0000 0.0000
Er 0.0000 0.0000 0.5000
Co 0.5000 0.5000 0.2599
Co 0.5000 0.5000 0.7401
C 0.0000 0.5000 0.2559
C 0.5000 0.0000 0.7441

***

(5)
Structure and simulated PXRD pattern of LiAgMoSeS2 (a DFT-relaxed cell (GGA-PBE, OQMD); Cu Kα X-rays).

Principal peaks in the range 2θ = 10–90°, by angle:
d_spacing, intensity
6.546, 100.0
2.593, 49.3
2.516, 33.7
2.368, 26.3
2.095, 20.9
2.002, 28.1

Lattice parameters (Å, degrees): 6.7640 6.7640 10.0622 90.00 90.00 150.86
Atoms (fractional coordinates):
Li 0.2455 0.7545 0.7500
Li 0.7545 0.2455 0.2500
Ag 0.0770 0.9230 0.2500
Ag 0.9230 0.0770 0.7500
Mo 0.5000 0.5000 0.0000
Mo 0.5000 0.5000 0.5000
Se 0.4131 0.5869 0.2500
Se 0.5869 0.4131 0.7500
S 0.1357 0.8643 0.0246
S 0.1357 0.8643 0.4754
S 0.8643 0.1357 0.5246
S 0.8643 0.1357 0.9754

***

(6)
Structure and simulated PXRD pattern of TbY2In3IrAu2 (a DFT-relaxed cell (GGA-PBE, OQMD); Cu Kα X-rays).

Principal peaks in the range 2θ = 10–90°, by angle:
d_spacing, intensity
2.762, 78.4
2.553, 100.0
2.229, 62.2
2.129, 61.5
1.479, 34.0
1.430, 38.4

Lattice parameters (Å, degrees): 3.9536 7.7234 7.7234 120.07 90.00 90.00
Atoms (fractional coordinates):
Tb 0.0000 0.0000 0.0000
Y 0.0000 0.3971 0.7940
Y 0.0000 0.7940 0.3971
In 0.5000 0.1422 0.3977
In 0.5000 0.3977 0.1422
In 0.5000 0.6516 0.6516
Ir 0.0000 0.3960 0.3960
Au 0.5000 0.0636 0.7307
Au 0.5000 0.7307 0.0636